(1)
Simulated X-ray powder pattern of Mg2Ga4Cu3 for Cu Ka, from a GGA-PBE-relaxed structure.

```
data_Mg2Ga4Cu3
_symmetry_space_group_name_H-M 'F m m m'
_symmetry_Int_Tables_number 69
_symmetry_space_group_name_Hall '-F 2 2'
_cell_length_a 5.224
_cell_length_b 8.792
_cell_length_c 12.507
_cell_angle_alpha 90.00
_cell_angle_beta 90.00
_cell_angle_gamma 90.00
loop_
_atom_site_label
_atom_site_type_symbol
_atom_site_fract_x
_atom_site_fract_y
_atom_site_fract_z
Mg1 Mg 0.000 0.000 0.121
Ga1 Ga 0.000 0.161 0.331
Cu1 Cu 0.000 0.000 0.500
Cu2 Cu 0.250 0.250 0.000
```

Main lines, most intense first (15 to 90 degrees two-theta):
Position (°2θ)  d (Å)  Rel. int.  h k l
41.44  2.179  100  1 3 3
42.79  2.113  45  2 2 2
21.02  4.227  43  1 1 1
43.41  2.085  34  0 0 6
66.33  1.409  29  3 3 3
43.65  2.074  26  0 4 2
41.31  2.185  26  1 1 5
20.20  4.396  22  0 2 0
37.31  2.410  21  2 0 2
34.33  2.612  21  2 0 0

(2)
Simulated X-ray powder pattern of Np2Fe3Sn2 for Cu Ka, from a GGA-PBE-relaxed structure.

```
data_Np2Fe3Sn2
_symmetry_space_group_name_H-M 'C 1 2/m 1'
_symmetry_Int_Tables_number 12
_symmetry_space_group_name_Hall '-C 2y'
_cell_length_a 12.155
_cell_length_b 4.501
_cell_length_c 4.803
_cell_angle_alpha 90.00
_cell_angle_beta 99.52
_cell_angle_gamma 90.00
loop_
_atom_site_label
_atom_site_type_symbol
_atom_site_fract_x
_atom_site_fract_y
_atom_site_fract_z
Np1 Np 0.150 0.000 0.372
Fe1 Fe 0.000 0.000 0.000
Fe2 Fe 0.207 0.000 0.829
Sn1 Sn 0.089 0.500 0.822
```

Main lines, most intense first (15 to 90 degrees two-theta):
Position (°2θ)  d (Å)  Rel. int.  h k l
33.42  2.681  100  3 1 -1
29.87  2.991  70  3 1 0
29.17  3.061  64  1 1 1
40.07  2.250  45  0 2 0
38.49  2.339  24  2 0 -2
43.33  2.088  24  2 0 2
44.98  2.015  23  1 1 2
38.09  2.362  21  4 0 1
42.72  2.116  21  5 1 0
61.51  1.507  19  1 1 -3

(3)
Simulated X-ray powder pattern of NaTl5Hg7 for Cu Ka, from a GGA-PBE-relaxed structure.

```
data_NaTl5Hg7
_symmetry_space_group_name_H-M 'C 1 2/m 1'
_symmetry_Int_Tables_number 12
_symmetry_space_group_name_Hall '-C 2y'
_cell_length_a 10.578
_cell_length_b 5.025
_cell_length_c 28.201
_cell_angle_alpha 90.00
_cell_angle_beta 98.01
_cell_angle_gamma 90.00
loop_
_atom_site_label
_atom_site_type_symbol
_atom_site_fract_x
_atom_site_fract_y
_atom_site_fract_z
Na1 Na 0.005 0.000 0.235
Tl1 Tl 0.000 0.000 0.000
Tl2 Tl 0.000 0.000 0.500
Tl3 Tl 0.049 0.500 0.414
Tl4 Tl 0.139 0.500 0.847
Tl5 Tl 0.184 0.500 0.078
Tl6 Tl 0.221 0.000 0.368
Hg1 Hg 0.026 0.000 0.120
Hg2 Hg 0.087 0.000 0.651
Hg3 Hg 0.121 0.500 0.297
Hg4 Hg 0.159 0.500 0.962
Hg5 Hg 0.174 0.500 0.735
Hg6 Hg 0.185 0.500 0.194
Hg7 Hg 0.200 0.500 0.524
```

Main lines, most intense first (15 to 90 degrees two-theta):
Position (°2θ)  d (Å)  Rel. int.  h k l
31.17  2.870  100  3 1 0
34.02  2.635  96  1 1 -9
35.74  2.512  78  0 2 0
31.39  2.849  42  1 1 -8
35.63  2.520  32  2 0 9
31.73  2.820  28  3 1 1
51.36  1.779  25  2 2 9
32.59  2.747  22  3 1 2
64.64  1.442  19  1 1 18
40.07  2.250  16  4 0 -8

(4)
Simulated X-ray powder pattern of Pr12AlNi5 for Cu Ka, from a GGA-PBE-relaxed structure.

```
data_Pr12AlNi5
_symmetry_space_group_name_H-M 'I m m m'
_symmetry_Int_Tables_number 71
_symmetry_space_group_name_Hall '-I 2 2'
_cell_length_a 9.652
_cell_length_b 9.990
_cell_length_c 10.360
_cell_angle_alpha 90.00
_cell_angle_beta 90.00
_cell_angle_gamma 90.00
loop_
_atom_site_label
_atom_site_type_symbol
_atom_site_fract_x
_atom_site_fract_y
_atom_site_fract_z
Pr1 Pr 0.000 0.187 0.210
Pr2 Pr 0.194 0.500 0.175
Pr3 Pr 0.200 0.319 0.500
Al1 Al 0.000 0.000 0.500
Ni1 Ni 0.000 0.000 0.000
Ni2 Ni 0.000 0.367 0.000
Ni3 Ni 0.000 0.500 0.377
```

Main lines, most intense first (15 to 90 degrees two-theta):
Position (°2θ)  d (Å)  Rel. int.  h k l
31.02  2.883  100  2 2 2
33.31  2.690  75  1 3 2
33.14  2.704  71  2 1 3
29.14  3.065  49  3 1 0
33.83  2.650  45  2 3 1
58.03  1.589  40  5 3 2
34.26  2.617  38  3 2 1
28.15  3.170  32  0 3 1
56.54  1.628  29  2 5 3
51.98  1.759  24  0 3 5

(5)
Simulated X-ray powder pattern of RbSrInF6 for Cu Ka, from a GGA-PBE-relaxed structure.

```
data_RbSrInF6
_symmetry_space_group_name_H-M 'I m m a'
_symmetry_Int_Tables_number 74
_symmetry_space_group_name_Hall '-I 2b 2'
_cell_length_a 7.929
_cell_length_b 7.988
_cell_length_c 10.862
_cell_angle_alpha 90.00
_cell_angle_beta 90.00
_cell_angle_gamma 90.00
loop_
_atom_site_label
_atom_site_type_symbol
_atom_site_fract_x
_atom_site_fract_y
_atom_site_fract_z
Rb1 Rb 0.000 0.250 0.103
Sr1 Sr 0.000 0.000 0.500
In1 In 0.250 0.250 0.750
F1 F 0.000 0.250 0.381
F2 F 0.000 0.250 0.671
F3 F 0.218 0.066 0.883
```

Main lines, most intense first (15 to 90 degrees two-theta):
Position (°2θ)  d (Å)  Rel. int.  h k l
26.41  3.375  100  2 1 1
46.48  1.954  74  2 2 4
27.05  3.297  61  0 1 3
27.86  3.202  56  2 0 2
27.73  3.218  50  0 2 2
26.30  3.389  45  1 2 1
42.13  2.145  30  0 3 3
45.77  1.982  23  4 0 0
22.76  3.908  23  1 1 2
41.82  2.160  20  3 2 1

(6)
Simulated X-ray powder pattern of EuGaPt for Cu Ka, from a GGA-PBE-relaxed structure.

```
data_EuGaPt
_symmetry_space_group_name_H-M 'P -6 m 2'
_symmetry_Int_Tables_number 187
_symmetry_space_group_name_Hall 'P -6 2'
_cell_length_a 4.3806
_cell_length_b 4.3806
_cell_length_c 4.1172
_cell_angle_alpha 90.00
_cell_angle_beta 90.00
_cell_angle_gamma 120.00
loop_
_atom_site_label
_atom_site_type_symbol
_atom_site_fract_x
_atom_site_fract_y
_atom_site_fract_z
Eu1 Eu 0.0000 0.0000 0.0000
Ga1 Ga 0.3333 0.6667 0.5000
Pt1 Pt 0.6667 0.3333 0.5000
```

Main lines, most intense first (15 to 90 degrees two-theta):
Position (°2θ)  d (Å)  Rel. int.  h k l
32.08  2.790  100  1 0 1
41.22  2.190  48  1 1 0
61.85  1.500  29  1 1 2
53.16  1.723  24  2 0 1
69.41  1.354  22  2 1 1
43.99  2.059  13  0 0 2
23.45  3.794  13  1 0 0
73.36  1.291  9  1 0 3
75.13  1.265  8  3 0 0
21.58  4.117  6  0 0 1

(7)
Simulated X-ray powder pattern of LaDySeO2 for Cu Ka, from a GGA-PBE-relaxed structure.

```
data_LaDySeO2
_symmetry_space_group_name_H-M 'P 1 21/m 1'
_symmetry_Int_Tables_number 11
_symmetry_space_group_name_Hall '-P 2yb'
_cell_length_a 6.697
_cell_length_b 4.117
_cell_length_c 7.836
_cell_angle_alpha 90.00
_cell_angle_beta 108.27
_cell_angle_gamma 90.00
loop_
_atom_site_label
_atom_site_type_symbol
_atom_site_fract_x
_atom_site_fract_y
_atom_site_fract_z
La1 La 0.192 0.250 0.429
Dy1 Dy 0.171 0.250 0.920
Se1 Se 0.451 0.750 0.753
O1 O 0.014 0.750 0.888
O2 O 0.015 0.750 0.371
```

Main lines, most intense first (15 to 90 degrees two-theta):
Position (°2θ)  d (Å)  Rel. int.  h k l
25.78  3.456  100  1 1 0
30.73  2.909  72  2 0 -2
31.43  2.846  72  1 0 2
32.21  2.779  61  1 1 -2
35.68  2.517  51  2 1 0
32.44  2.760  40  0 1 2
43.99  2.058  34  0 2 0
46.35  1.959  32  1 0 -4
55.06  1.668  29  1 2 2
54.62  1.680  28  2 2 -2

(8)
Simulated X-ray powder pattern of RbInSnI4 for Cu Ka, from a GGA-PBE-relaxed structure.

```
data_RbInSnI4
_symmetry_space_group_name_H-M 'I 4 m m'
_symmetry_Int_Tables_number 107
_symmetry_space_group_name_Hall 'I 4 -2'
_cell_length_a 6.241
_cell_length_b 6.241
_cell_length_c 17.961
_cell_angle_alpha 90.00
_cell_angle_beta 90.00
_cell_angle_gamma 90.00
loop_
_atom_site_label
_atom_site_type_symbol
_atom_site_fract_x
_atom_site_fract_y
_atom_site_fract_z
Rb1 Rb 0.000 0.000 0.000
In1 In 0.000 0.000 0.728
Sn1 Sn 0.000 0.000 0.367
I1 I 0.000 0.000 0.200
I2 I 0.000 0.000 0.555
I3 I 0.000 0.500 0.371
```

Main lines, most intense first (15 to 90 degrees two-theta):
Position (°2θ)  d (Å)  Rel. int.  h k l
28.63  3.118  100  2 0 0
40.92  2.205  49  2 2 0
22.45  3.961  38  1 1 2
41.82  2.160  34  2 0 6
28.36  3.148  31  1 1 4
20.12  4.413  25  1 1 0
29.85  2.994  21  0 0 6
51.45  1.776  18  2 2 6
67.08  1.395  17  4 2 0
59.24  1.560  16  4 0 0

(9)
Simulated X-ray powder pattern of Na3UN3 for Cu Ka, from a GGA-PBE-relaxed structure.

```
data_Na3UN3
_symmetry_space_group_name_H-M 'C 1 2/c 1'
_symmetry_Int_Tables_number 15
_symmetry_space_group_name_Hall '-C 2yc'
_cell_length_a 9.849
_cell_length_b 10.103
_cell_length_c 6.897
_cell_angle_alpha 90.00
_cell_angle_beta 133.84
_cell_angle_gamma 90.00
loop_
_atom_site_label
_atom_site_type_symbol
_atom_site_fract_x
_atom_site_fract_y
_atom_site_fract_z
Na1 Na 0.000 0.036 0.250
Na2 Na 0.248 0.249 0.721
U1 U 0.000 0.480 0.250
N1 N 0.000 0.280 0.250
N2 N 0.189 0.499 0.697
```

Main lines, most intense first (15 to 90 degrees two-theta):
Position (°2θ)  d (Å)  Rel. int.  h k l
15.25  5.811  100  1 1 0
17.56  5.052  34  0 2 0
30.77  2.906  28  2 2 0
31.41  2.848  24  2 2 -2
29.35  3.043  18  1 3 0
30.02  2.977  17  1 1 -2
30.25  2.954  16  3 1 -2
36.11  2.488  15  0 0 2
25.08  3.551  15  2 0 0
36.51  2.461  14  4 0 -2

(10)
Simulated X-ray powder pattern of La4TlHg3 for Cu Ka, from a GGA-PBE-relaxed structure.

```
data_La4TlHg3
_symmetry_space_group_name_H-M 'C 1 2/m 1'
_symmetry_Int_Tables_number 12
_symmetry_space_group_name_Hall '-C 2y'
_cell_length_a 16.766
_cell_length_b 5.539
_cell_length_c 5.539
_cell_angle_alpha 90.00
_cell_angle_beta 109.21
_cell_angle_gamma 90.00
loop_
_atom_site_label
_atom_site_type_symbol
_atom_site_fract_x
_atom_site_fract_y
_atom_site_fract_z
La1 La 0.127 0.000 0.126
La2 La 0.127 0.500 0.627
Tl1 Tl 0.000 0.000 0.500
Hg1 Hg 0.000 0.500 0.000
Hg2 Hg 0.250 0.000 0.750
```

Main lines, most intense first (15 to 90 degrees two-theta):
Position (°2θ)  d (Å)  Rel. int.  h k l
32.15  2.784  100  3 1 1
32.32  2.770  49  0 2 0
57.54  1.602  39  3 3 1
57.21  1.610  20  8 2 0
46.36  1.958  18  2 2 -2
67.26  1.392  12  6 2 2
45.85  1.979  9  8 0 0
76.13  1.250  9  11 1 1
76.89  1.240  8  1 3 3
76.99  1.239  8  4 2 -4

(11)
Simulated X-ray powder pattern of NaPmBe2O4 for Cu Ka, from a GGA-PBE-relaxed structure.

```
data_NaPmBe2O4
_symmetry_space_group_name_H-M 'I 4 2 2'
_symmetry_Int_Tables_number 97
_symmetry_space_group_name_Hall 'I 4 2'
_cell_length_a 5.495
_cell_length_b 5.495
_cell_length_c 6.078
_cell_angle_alpha 90.00
_cell_angle_beta 90.00
_cell_angle_gamma 90.00
loop_
_atom_site_label
_atom_site_type_symbol
_atom_site_fract_x
_atom_site_fract_y
_atom_site_fract_z
Na1 Na 0.000 0.000 0.000
Pm1 Pm 0.000 0.000 0.500
Be1 Be 0.000 0.500 0.250
O1 O 0.188 0.312 0.250
```

Main lines, most intense first (15 to 90 degrees two-theta):
Position (°2θ)  d (Å)  Rel. int.  h k l
21.80  4.076  100  1 0 1
22.89  3.886  64  1 1 0
37.57  2.394  62  1 1 2
39.56  2.278  48  2 1 1
44.45  2.038  43  2 0 2
32.59  2.747  22  2 0 0
61.47  1.508  21  3 1 2
46.76  1.943  20  2 2 0
52.67  1.738  20  3 1 0
59.10  1.563  15  2 1 3

(12)
Simulated X-ray powder pattern of TlRhI4 for Cu Ka, from a GGA-PBE-relaxed structure.

```
data_TlRhI4
_symmetry_space_group_name_H-M 'C 1 2/m 1'
_symmetry_Int_Tables_number 12
_symmetry_space_group_name_Hall '-C 2y'
_cell_length_a 12.567
_cell_length_b 4.144
_cell_length_c 8.958
_cell_angle_alpha 90.00
_cell_angle_beta 111.32
_cell_angle_gamma 90.00
loop_
_atom_site_label
_atom_site_type_symbol
_atom_site_fract_x
_atom_site_fract_y
_atom_site_fract_z
Tl1 Tl 0.000 0.000 0.000
Rh1 Rh 0.000 0.500 0.500
I1 I 0.118 0.000 0.439
I2 I 0.144 0.500 0.812
```

Main lines, most intense first (15 to 90 degrees two-theta):
Position (°2θ)  d (Å)  Rel. int.  h k l
30.46  2.935  100  2 0 2
15.14  5.854  26  2 0 0
23.95  3.715  25  1 1 -1
49.25  1.850  23  5 1 1
29.36  3.042  19  1 1 -2
43.68  2.072  18  0 2 0
37.34  2.408  16  1 1 -3
21.29  4.173  16  0 0 2
30.14  2.965  15  2 0 -3
54.21  1.692  14  2 2 2

(13)
Simulated X-ray powder pattern of PmPr3As4 for Cu Ka, from a GGA-PBE-relaxed structure.

```
data_PmPr3As4
_symmetry_space_group_name_H-M 'C m m m'
_symmetry_Int_Tables_number 65
_symmetry_space_group_name_Hall '-C 2 2'
_cell_length_a 8.581
_cell_length_b 12.132
_cell_length_c 4.294
_cell_angle_alpha 90.00
_cell_angle_beta 90.00
_cell_angle_gamma 90.00
loop_
_atom_site_label
_atom_site_type_symbol
_atom_site_fract_x
_atom_site_fract_y
_atom_site_fract_z
Pm1 Pm 0.000 0.000 0.000
Pr1 Pr 0.000 0.500 0.000
Pr2 Pr 0.250 0.250 0.500
As1 As 0.000 0.249 0.000
As2 As 0.247 0.000 0.500
```

Main lines, most intense first (15 to 90 degrees two-theta):
Position (°2θ)  d (Å)  Rel. int.  h k l
29.44  3.034  100  2 0 1
42.11  2.146  75  4 0 0
69.23  1.357  34  6 0 1
52.21  1.752  27  4 4 0
76.97  1.239  25  6 4 1
25.42  3.504  17  2 2 0
61.08  1.517  12  4 0 2
49.83  1.830  8  4 2 1
67.24  1.392  3  6 2 0
82.61  1.168  3  6 6 0